No. 1
Computed powder diffractogram
Compound: Ho4B2I5
Radiation: λ = 1.5418 Å (Cu Kα)
Structure: DFT lattice parameters and positions (PBE)

Cell and atoms:
Cell: 11.938 11.938 11.938 Å, 160.81 138.33 46.26°
Fractional positions:
Ho 0.140 0.140 0.000
Ho 0.187 0.500 0.687
Ho 0.813 0.500 0.313
Ho 0.860 0.860 0.000
B 0.036 0.036 0.000
B 0.964 0.964 0.000
I 0.111 0.346 0.765
I 0.420 0.654 0.765
I 0.500 0.000 0.500
I 0.580 0.346 0.235
I 0.889 0.654 0.235

The 10 most intense peaks (10° ≤ 2θ ≤ 90°), in order of rising 2θ:
2theta  intensity
11.17  29
24.32  75
26.02  21
29.65  51
31.06  100
33.19  18
33.95  38
42.42  71
45.58  20
52.33  18

No. 2
Computed powder diffractogram
Compound: Ba2GaF8
Radiation: λ = 1.5418 Å (Cu Kα)
Structure: DFT lattice parameters and positions (PBE)

Cell and atoms:
Cell: 4.905 4.995 7.547 Å, 102.98 105.27 94.97°
Fractional positions:
Ba 0.200 0.169 0.311
Ba 0.800 0.831 0.689
Ga 0.500 0.500 0.000
F 0.143 0.272 0.961
F 0.211 0.736 0.491
F 0.322 0.745 0.862
F 0.481 0.713 0.245
F 0.519 0.287 0.755
F 0.678 0.255 0.138
F 0.789 0.264 0.509
F 0.857 0.728 0.039

The 10 most intense peaks (10° ≤ 2θ ≤ 90°), in order of rising 2θ:
2theta  intensity
24.41  87
24.98  100
25.77  86
26.76  71
26.92  68
27.29  72
36.22  51
36.82  35
45.01  61
45.30  62

No. 3
Computed powder diffractogram
Compound: TaZn11
Radiation: λ = 1.5418 Å (Cu Kα)
Structure: DFT lattice parameters and positions (PBE)

Cell and atoms:
Cell: 8.046 8.046 8.046 Å, 100.10 100.10 130.49°
Fractional positions:
Ta 0.375 0.625 0.750
Ta 0.625 0.375 0.250
Zn 0.000 0.000 0.000
Zn 0.000 0.000 0.500
Zn 0.000 0.500 0.000
Zn 0.121 0.551 0.332
Zn 0.121 0.789 0.571
Zn 0.125 0.875 0.250
Zn 0.211 0.281 0.332
Zn 0.211 0.879 0.929
Zn 0.281 0.211 0.832
Zn 0.281 0.449 0.071
Zn 0.449 0.281 0.571
Zn 0.449 0.879 0.168
Zn 0.500 0.000 0.500
Zn 0.551 0.121 0.832
Zn 0.551 0.719 0.429
Zn 0.719 0.551 0.929
Zn 0.719 0.789 0.168
Zn 0.789 0.121 0.071
Zn 0.789 0.719 0.668
Zn 0.875 0.125 0.750
Zn 0.879 0.211 0.429
Zn 0.879 0.449 0.668

The 10 most intense peaks (10° ≤ 2θ ≤ 90°), in order of rising 2θ:
2theta  intensity
29.16  17
33.99  37
38.37  100
38.98  56
41.13  26
45.93  33
47.73  18
58.87  15
70.21  27
83.72  12

No. 4
Computed powder diffractogram
Compound: Pu4In16Co3
Radiation: λ = 1.5418 Å (Cu Kα)
Structure: DFT lattice parameters and positions (PBE)

Cell and atoms:
Cell: 6.587 6.587 12.223 Å, 90.00 90.00 90.00°
Fractional positions:
Pu 0.000 0.500 0.193
Pu 0.000 0.500 0.807
Pu 0.500 0.000 0.193
Pu 0.500 0.000 0.807
In 0.000 0.000 0.199
In 0.000 0.000 0.801
In 0.229 0.229 0.000
In 0.229 0.771 0.000
In 0.249 0.249 0.381
In 0.249 0.249 0.619
In 0.249 0.751 0.381
In 0.249 0.751 0.619
In 0.500 0.500 0.209
In 0.500 0.500 0.791
In 0.751 0.249 0.381
In 0.751 0.249 0.619
In 0.751 0.751 0.381
In 0.751 0.751 0.619
In 0.771 0.229 0.000
In 0.771 0.771 0.000
Co 0.000 0.500 0.500
Co 0.500 0.000 0.500
Co 0.500 0.500 0.000

The 10 most intense peaks (10° ≤ 2θ ≤ 90°), in order of rising 2θ:
2theta  intensity
28.06  14
29.12  14
30.84  56
35.03  100
36.76  28
38.66  65
54.41  35
55.83  21
67.62  43
68.73  17

No. 5
Computed powder diffractogram
Compound: K3Nb6SBr17
Radiation: λ = 1.5418 Å (Cu Kα)
Structure: DFT lattice parameters and positions (PBE)

Cell and atoms:
Cell: 13.187 13.187 9.482 Å, 91.35 91.35 92.76°
Fractional positions:
K 0.038 0.962 0.750
K 0.218 0.307 0.832
K 0.307 0.218 0.332
K 0.693 0.782 0.668
K 0.782 0.693 0.168
K 0.962 0.038 0.250
Nb 0.116 0.743 0.354
Nb 0.201 0.556 0.233
Nb 0.257 0.884 0.146
Nb 0.302 0.665 0.482
Nb 0.335 0.698 0.018
Nb 0.444 0.799 0.267
Nb 0.556 0.201 0.733
Nb 0.665 0.302 0.982
Nb 0.698 0.335 0.518
Nb 0.743 0.116 0.854
Nb 0.799 0.444 0.767
Nb 0.884 0.257 0.646
S 0.276 0.724 0.250
S 0.724 0.276 0.750
Br 0.012 0.571 0.309
Br 0.060 0.817 0.100
Br 0.069 0.184 0.565
Br 0.138 0.704 0.620
Br 0.144 0.360 0.154
Br 0.152 0.604 0.968
Br 0.183 0.940 0.400
Br 0.184 0.069 0.065
Br 0.246 0.471 0.474
Br 0.296 0.862 0.880
Br 0.360 0.144 0.654
Br 0.375 0.512 0.108
Br 0.382 0.618 0.750
Br 0.396 0.848 0.532
Br 0.429 0.988 0.191
Br 0.471 0.246 0.974
Br 0.488 0.625 0.392
Br 0.512 0.375 0.608
Br 0.529 0.754 0.026
Br 0.571 0.012 0.809
Br 0.604 0.152 0.468
Br 0.618 0.382 0.250
Br 0.625 0.488 0.892
Br 0.640 0.856 0.346
Br 0.704 0.138 0.120
Br 0.754 0.529 0.526
Br 0.816 0.931 0.935
Br 0.817 0.060 0.600
Br 0.848 0.396 0.032
Br 0.856 0.640 0.846
Br 0.862 0.296 0.380
Br 0.931 0.816 0.435
Br 0.940 0.183 0.900
Br 0.988 0.429 0.691

The 10 most intense peaks (10° ≤ 2θ ≤ 90°), in order of rising 2θ:
2theta  intensity
11.37  36
11.64  68
26.71  24
30.10  87
31.13  100
32.16  88
37.39  40
39.10  37
40.79  43
49.63  44

No. 6
Computed powder diffractogram
Compound: Li2PmAl2Ga2
Radiation: λ = 1.5418 Å (Cu Kα)
Structure: DFT lattice parameters and positions (PBE)

Cell and atoms:
Cell: 4.364 4.364 8.242 Å, 105.15 105.15 59.89°
Fractional positions:
Li 0.143 0.143 0.431
Li 0.857 0.857 0.569
Pm 0.000 0.000 0.000
Al 0.434 0.434 0.306
Al 0.566 0.566 0.694
Ga 0.260 0.260 0.776
Ga 0.740 0.740 0.224

The 10 most intense peaks (10° ≤ 2θ ≤ 90°), in order of rising 2θ:
2theta  intensity
11.26  69
23.86  17
28.06  100
30.36  12
35.72  48
38.81  20
41.40  58
43.02  11
50.82  13
63.84  12

No. 7
Computed powder diffractogram
Compound: La3S3O
Radiation: λ = 1.5418 Å (Cu Kα)
Structure: DFT lattice parameters and positions (PBE)

Cell and atoms:
Cell: 11.903 4.114 13.206 Å, 90.00 90.00 90.00°
Fractional positions:
La 0.035 0.250 0.154
La 0.103 0.250 0.611
La 0.242 0.250 0.871
La 0.258 0.750 0.371
La 0.397 0.750 0.111
La 0.465 0.750 0.654
La 0.535 0.250 0.346
La 0.603 0.250 0.889
La 0.742 0.250 0.629
La 0.758 0.750 0.129
La 0.897 0.750 0.389
La 0.965 0.750 0.846
S 0.070 0.250 0.388
S 0.148 0.750 0.007
S 0.228 0.750 0.714
S 0.272 0.250 0.214
S 0.352 0.250 0.507
S 0.430 0.750 0.888
S 0.570 0.250 0.112
S 0.648 0.750 0.493
S 0.728 0.750 0.786
S 0.772 0.250 0.286
S 0.852 0.250 0.993
S 0.930 0.750 0.612
O 0.051 0.250 0.803
O 0.449 0.750 0.303
O 0.551 0.250 0.697
O 0.949 0.750 0.197

The 10 most intense peaks (10° ≤ 2θ ≤ 90°), in order of rising 2θ:
2theta  intensity
26.20  100
26.33  48
26.60  77
27.01  66
27.20  48
32.06  49
38.08  52
43.46  35
44.02  41
51.95  32

No. 8
Computed powder diffractogram
Compound: UAl11Zn
Radiation: λ = 1.5418 Å (Cu Kα)
Structure: DFT lattice parameters and positions (PBE)

Cell and atoms:
Cell: 6.937 6.937 7.005 Å, 97.90 97.90 134.83°
Fractional positions:
U 0.000 0.000 0.000
Al 0.000 0.000 0.500
Al 0.000 0.500 0.000
Al 0.010 0.655 0.648
Al 0.289 0.502 0.785
Al 0.345 0.990 0.352
Al 0.498 0.711 0.215
Al 0.500 0.000 0.000
Al 0.502 0.289 0.785
Al 0.655 0.010 0.648
Al 0.711 0.498 0.215
Al 0.990 0.345 0.352
Zn 0.500 0.500 0.500

The 10 most intense peaks (10° ≤ 2θ ≤ 90°), in order of rising 2θ:
2theta  intensity
13.54  22
13.83  56
19.42  64
27.03  32
27.70  45
30.70  25
33.62  47
38.84  33
39.39  100
39.71  26

No. 9
Computed powder diffractogram
Compound: Nd4AlSn
Radiation: λ = 1.5418 Å (Cu Kα)
Structure: DFT lattice parameters and positions (PBE)

Cell and atoms:
Cell: 11.045 11.045 6.471 Å, 90.00 90.00 149.63°
Fractional positions:
Nd 0.061 0.939 0.750
Nd 0.206 0.794 0.502
Nd 0.206 0.794 0.998
Nd 0.391 0.609 0.750
Nd 0.609 0.391 0.250
Nd 0.794 0.206 0.002
Nd 0.794 0.206 0.498
Nd 0.939 0.061 0.250
Al 0.079 0.921 0.250
Al 0.921 0.079 0.750
Sn 0.347 0.653 0.250
Sn 0.653 0.347 0.750

The 10 most intense peaks (10° ≤ 2θ ≤ 90°), in order of rising 2θ:
2theta  intensity
24.14  46
25.96  56
28.84  46
29.46  29
30.90  82
32.37  36
33.24  77
34.17  100
42.78  32
45.36  29